[1]
Computed PXRD pattern
Compound: MoP2O7
Radiation: λ = 1.5418 Å (Cu Kα)
Structure: a crystal structure in Alexandria, relaxed with GGA+U

Most intense lines, 2θ = 15–90°, by intensity:
16.69°, d 5.312, I 100, hkl 0 1 1; 28.76°, d 3.104, I 43, hkl 1 2 -1; 21.29°, d 4.173, I 33, hkl 1 1 0; 29.58°, d 3.020, I 21, hkl 1 1 -2; 22.14°, d 4.016, I 18, hkl 1 1 -1; 27.62°, d 3.230, I 14, hkl 1 1 1; 25.50°, d 3.493, I 12, hkl 1 0 1; 33.74°, d 2.656, I 12, hkl 0 2 2; 37.89°, d 2.375, I 9, hkl 1 1 2; 42.50°, d 2.127, I 8, hkl 1 3 -2

Crystal structure
abc: 4.989 8.476 7.095
angles: 90.00 106.07 90.00
Space group P2_1 (No. 4)
Inequivalent atoms, fractional coordinates:
Mo 0.218 0.000 0.229 [2 per cell]
P 0.244 0.736 0.613 [2 per cell]
P 0.381 0.310 0.002 [2 per cell]
O 0.001 0.677 0.686 [2 per cell]
O 0.144 0.430 0.965 [2 per cell]
O 0.144 0.838 0.434 [2 per cell]
O 0.285 0.140 0.003 [2 per cell]
O 0.428 0.853 0.781 [2 per cell]
O 0.434 0.598 0.588 [2 per cell]
O 0.439 0.829 0.141 [2 per cell]


[2]
Computed PXRD pattern
Compound: MoP2O8
Radiation: λ = 1.5418 Å (Cu Kα)
Structure: a crystal structure in Alexandria, relaxed with GGA+U

Most intense lines, 2θ = 15–90°, by intensity:
21.47°, d 4.140, I 100, hkl 1 1 0; 21.02°, d 4.226, I 88, hkl 1 0 1; 30.95°, d 2.889, I 74, hkl 1 1 2; 31.88°, d 2.807, I 66, hkl 1 2 1; 22.03°, d 4.034, I 65, hkl 0 0 2; 25.06°, d 3.554, I 56, hkl 0 1 2; 23.70°, d 3.755, I 52, hkl 0 2 0; 16.12°, d 5.497, I 48, hkl 0 1 1; 29.84°, d 2.994, I 45, hkl 1 2 0; 49.50°, d 1.842, I 37, hkl 2 2 2

Crystal structure
abc: 4.962 7.509 8.068
angles: 90.00 90.00 90.00
Space group P2_12_12 (No. 18)
Inequivalent atoms, fractional coordinates:
Mo 0.000 0.000 0.229 [2 per cell]
P 0.244 0.890 0.639 [4 per cell]
O 0.000 0.000 0.722 [2 per cell]
O 0.000 0.500 0.298 [2 per cell]
O 0.217 0.893 0.099 [4 per cell]
O 0.222 0.886 0.454 [4 per cell]
O 0.247 0.213 0.272 [4 per cell]


[3]
Computed PXRD pattern
Compound: Mo2P3O13
Radiation: λ = 1.5418 Å (Cu Kα)
Structure: a crystal structure in Alexandria, relaxed with GGA+U

Most intense lines, 2θ = 15–90°, by intensity:
16.97°, d 5.225, I 100, hkl 0 2 1; 20.36°, d 4.363, I 37, hkl 2 2 -1; 26.38°, d 3.378, I 27, hkl 3 1 -2; 31.53°, d 2.837, I 22, hkl 2 4 0; 26.82°, d 3.325, I 18, hkl 1 3 1; 27.14°, d 3.286, I 17, hkl 0 2 2; 20.56°, d 4.321, I 16, hkl 1 3 0; 29.13°, d 3.065, I 15, hkl 2 4 -1; 32.12°, d 2.787, I 15, hkl 1 1 2; 31.71°, d 2.821, I 13, hkl 2 2 1

Crystal structure
abc: 10.755 14.922 9.011
angles: 90.00 125.69 90.00
Space group Cc (No. 9)
Inequivalent atoms, fractional coordinates:
Mo 0.000 0.092 0.000 [4 per cell]
Mo 0.012 0.408 0.666 [4 per cell]
P 0.206 0.212 0.896 [4 per cell]
P 0.257 0.491 0.581 [4 per cell]
P 0.307 0.213 0.264 [4 per cell]
O 0.085 0.143 0.872 [4 per cell]
O 0.102 0.004 0.567 [4 per cell]
O 0.132 0.431 0.558 [4 per cell]
O 0.137 0.279 0.744 [4 per cell]
O 0.156 0.166 0.211 [4 per cell]
O 0.201 0.447 0.919 [4 per cell]
O 0.257 0.265 0.081 [4 per cell]
O 0.331 0.452 0.259 [4 per cell]
O 0.347 0.162 0.935 [4 per cell]
O 0.360 0.282 0.411 [4 per cell]
O 0.388 0.431 0.605 [4 per cell]
O 0.418 0.008 0.606 [4 per cell]
O 0.425 0.143 0.303 [4 per cell]